LaGa2SnAu2: computed powder X-ray diffraction pattern (Cu Kα (λ = 1.5418 Å)), based on a structure optimized by DFT (GGA-PBE).
Peak positions follow from Bragg's law for the DFT cell and can differ from measured ones.

Cell and atoms:
Cell lengths 4.6082, 4.6082, 7.2180 Å; angles 90.00, 90.00, 120.00 degrees
Space group P-3m1 (No. 164)
Asymmetric unit:
La  0.0000  0.0000  0.0000
Ga  0.3333  0.6667  0.7497
Sn  0.0000  0.0000  0.5000
Au  0.3333  0.6667  0.2855

Largest 12 diffraction maxima, by angle, 2θ = 5–70°:
2theta, Rel. int., (hkl)
24.67, 8, 0 0 2
25.50, 32, 0 1 1
33.48, 100, 1 0 2
39.09, 75, 1 1 0
46.78, 8, 1 1 2
47.26, 6, 2 0 1
50.58, 8, 0 0 4
52.40, 28, 0 2 2
55.20, 6, 1 1 3
55.92, 6, 0 1 4
65.73, 22, 1 1 4
67.27, 27, 2 1 2

---

LaYGa2Au5: computed powder X-ray diffraction pattern (Cu Kα (λ = 1.5418 Å)), based on a structure optimized by DFT (GGA-PBE).
Peak positions follow from Bragg's law for the DFT cell and can differ from measured ones.

Cell and atoms:
Cell lengths 4.777, 4.777, 8.532 Å; angles 90.00, 90.00, 90.00 degrees
Space group P4/mmm (No. 123)
Asymmetric unit:
La  0.000  0.000  0.000
Y  0.000  0.000  0.500
Ga  0.500  0.500  0.354
Au  0.000  0.500  0.245
Au  0.500  0.500  0.000

Largest 12 diffraction maxima, by angle, 2θ = 5–70°:
2theta, Rel. int., (hkl)
10.37, 8, 0 0 1
20.82, 9, 0 0 2
33.85, 100, 1 1 2
36.78, 5, 1 0 3
37.66, 50, 2 0 0
41.51, 9, 1 1 3
42.37, 12, 0 0 4
43.42, 6, 2 0 2
50.61, 6, 1 1 4
54.31, 18, 2 2 0
57.97, 19, 2 0 4
65.55, 30, 3 1 2

---

LaZn2GaAu: computed powder X-ray diffraction pattern (Cu Kα (λ = 1.5418 Å)), based on a structure optimized by DFT (GGA-PBE).
Peak positions follow from Bragg's law for the DFT cell and can differ from measured ones.

Cell and atoms:
Cell lengths 4.445, 4.445, 10.416 Å; angles 90.00, 90.00, 90.00 degrees
Space group Imm2 (No. 44)
Asymmetric unit:
La  0.000  0.000  0.000
Zn  0.000  0.000  0.621
Zn  0.000  0.500  0.252
Ga  0.000  0.000  0.385
Au  0.000  0.500  0.753

Largest 12 diffraction maxima, by angle, 2θ = 5–70°:
2theta, Rel. int., (hkl)
21.74, 27, 1 0 1
32.73, 40, 0 1 3
33.29, 100, 1 1 2
40.59, 50, 2 0 0
45.22, 19, 1 1 4
48.24, 17, 1 0 5
53.09, 20, 2 1 3
54.26, 10, 2 0 4
58.75, 17, 2 2 0
60.97, 14, 1 1 6
64.83, 14, 1 2 5
69.23, 24, 3 1 2

---

Li4GaAu: computed powder X-ray diffraction pattern (Cu Kα (λ = 1.5418 Å)), based on a structure optimized by DFT (GGA-PBE).
Peak positions follow from Bragg's law for the DFT cell and can differ from measured ones.

Cell and atoms:
Cell lengths 2.765, 4.468, 7.688 Å; angles 90.00, 90.09, 90.00 degrees
Space group Pm (No. 6)
Asymmetric unit:
Li  0.000  0.000  0.000
Li  0.001  0.500  0.178
Li  0.002  0.000  0.652
Li  0.504  0.500  0.502
Ga  0.499  0.500  0.848
Au  0.501  0.000  0.321

Largest 12 diffraction maxima, by angle, 2θ = 5–70°:
2theta, Rel. int., (hkl)
11.51, 52, 0 0 1
19.87, 16, 0 1 0
23.02, 100, 0 1 1
23.14, 48, 0 0 2
32.38, 22, 1 0 0
40.11, 68, 1 1 1
40.21, 13, 1 0 2
40.37, 15, 0 2 0
40.58, 28, 0 1 3
47.05, 15, 0 2 2
52.85, 21, 1 1 3
58.27, 18, 1 2 2

---

Li2Ga2Au5: computed powder X-ray diffraction pattern (Cu Kα (λ = 1.5418 Å)), based on a structure optimized by DFT (GGA-PBE).
Peak positions follow from Bragg's law for the DFT cell and can differ from measured ones.

Cell and atoms:
Cell lengths 14.470, 7.890, 5.556 Å; angles 90.00, 90.00, 90.00 degrees
Space group Cmce (No. 64)
Asymmetric unit:
Li  0.244  0.000  0.000
Ga  0.000  0.158  0.471
Au  0.000  0.000  0.000
Au  0.152  0.249  0.736

Largest 12 diffraction maxima, by angle, 2θ = 5–70°:
2theta, Rel. int., (hkl)
22.54, 96, 0 2 0
25.72, 53, 2 2 0
33.61, 100, 4 2 0
34.59, 56, 2 0 2
37.29, 68, 6 0 0
38.38, 28, 1 3 1
39.68, 97, 0 2 2
40.96, 91, 4 0 2
46.02, 30, 0 4 0
47.25, 27, 4 2 2
55.58, 55, 6 2 2
63.28, 30, 4 4 2

---

LiGa2Au3: computed powder X-ray diffraction pattern (Cu Kα (λ = 1.5418 Å)), based on a structure optimized by DFT (GGA-PBE).
Peak positions follow from Bragg's law for the DFT cell and can differ from measured ones.

Cell and atoms:
Cell lengths 4.487, 5.823, 15.801 Å; angles 90.00, 90.00, 90.00 degrees
Space group Imma (No. 74)
Asymmetric unit:
Li  0.000  0.250  0.160
Ga  0.000  0.250  0.457
Ga  0.000  0.250  0.851
Au  0.000  0.000  0.000
Au  0.000  0.000  0.312

Largest 12 diffraction maxima, by angle, 2θ = 5–70°:
2theta, Rel. int., (hkl)
26.09, 64, 1 0 3
30.71, 22, 0 2 0
34.04, 24, 0 0 6
40.19, 31, 2 0 0
40.72, 100, 1 2 3
44.95, 17, 1 0 7
46.50, 15, 0 2 6
51.41, 11, 2 2 0
53.67, 13, 2 0 6
63.11, 10, 2 2 6
63.95, 8, 0 4 0
67.44, 10, 0 2 10

---

Li5Ga3Au: computed powder X-ray diffraction pattern (Cu Kα (λ = 1.5418 Å)), based on a structure optimized by DFT (GGA-PBE).
Peak positions follow from Bragg's law for the DFT cell and can differ from measured ones.

Cell and atoms:
Cell lengths 9.223, 7.414, 10.355 Å; angles 90.00, 99.97, 90.00 degrees
Space group C2/m (No. 12)
Asymmetric unit:
Li  0.000  0.168  0.000
Li  0.019  0.000  0.363
Li  0.219  0.311  0.674
Li  0.235  0.000  0.841
Ga  0.000  0.500  0.000
Ga  0.000  0.500  0.500
Ga  0.241  0.500  0.905
Ga  0.245  0.000  0.557
Au  0.018  0.500  0.253

Largest 12 diffraction maxima, by angle, 2θ = 5–70°:
2theta, Rel. int., (hkl)
15.43, 100, 1 1 0
22.01, 35, 1 1 -2
23.87, 10, 2 0 -2
24.00, 46, 0 2 0
31.93, 16, 3 1 0
34.11, 10, 2 2 -2
37.72, 12, 1 3 0
39.69, 13, 4 0 0
40.24, 22, 1 1 4
44.01, 18, 3 1 -4
44.88, 10, 2 2 -4
46.92, 14, 4 2 0

---

Li5Ga2Au12: computed powder X-ray diffraction pattern (Cu Kα (λ = 1.5418 Å)), based on a structure optimized by DFT (GGA-PBE).
Peak positions follow from Bragg's law for the DFT cell and can differ from measured ones.

Cell and atoms:
Cell lengths 13.545, 7.577, 6.537 Å; angles 90.00, 90.28, 90.00 degrees
Space group C2/m (No. 12)
Asymmetric unit:
Li  0.000  0.000  0.000
Li  0.196  0.500  0.515
Li  0.242  0.000  0.924
Ga  0.000  0.280  0.500
Au  0.058  0.500  0.206
Au  0.105  0.000  0.611
Au  0.124  0.304  0.843
Au  0.167  0.187  0.253

Largest 12 diffraction maxima, by angle, 2θ = 5–70°:
2theta, Rel. int., (hkl)
19.10, 38, 1 1 1
26.32, 43, 4 0 0
26.78, 18, 3 1 1
27.27, 40, 0 0 2
37.92, 29, 5 1 1
38.17, 57, 4 2 -1
38.78, 100, 2 2 2
38.81, 26, 1 3 1
43.30, 27, 3 3 -1
43.57, 18, 2 0 -3
43.75, 21, 2 0 3
55.61, 23, 4 2 -3

---

Li3Ga2Au7: computed powder X-ray diffraction pattern (Cu Kα (λ = 1.5418 Å)), based on a structure optimized by DFT (GGA-PBE).
Peak positions follow from Bragg's law for the DFT cell and can differ from measured ones.

Cell and atoms:
Cell lengths 4.200, 3.768, 14.597 Å; angles 90.00, 97.20, 90.00 degrees
Space group P2/m (No. 10)
Asymmetric unit:
Li  0.000  0.000  0.000
Li  0.298  0.500  0.602
Ga  0.120  0.000  0.270
Au  0.064  0.500  0.142
Au  0.225  0.000  0.439
Au  0.429  0.000  0.843
Au  0.500  0.500  0.000

Largest 12 diffraction maxima, by angle, 2θ = 5–70°:
2theta, Rel. int., (hkl)
6.10, 100, 0 0 1
18.38, 54, 0 0 3
24.41, 49, 0 1 1
35.39, 51, 1 1 2
35.74, 59, 1 1 -3
38.56, 22, 1 1 3
39.02, 21, 1 1 -4
42.49, 35, 1 1 4
43.07, 65, 2 0 -1
43.75, 29, 0 0 7
48.30, 27, 0 2 0
66.70, 20, 2 2 -1

---

Li3Ga4Au: computed powder X-ray diffraction pattern (Cu Kα (λ = 1.5418 Å)), based on a structure optimized by DFT (GGA-PBE).
Peak positions follow from Bragg's law for the DFT cell and can differ from measured ones.

Cell and atoms:
Cell lengths 4.336, 5.803, 11.561 Å; angles 90.00, 90.00, 90.00 degrees
Space group Immm (No. 71)
Asymmetric unit:
Li  0.000  0.000  0.000
Li  0.000  0.500  0.126
Ga  0.000  0.271  0.321
Au  0.000  0.000  0.500

Largest 12 diffraction maxima, by angle, 2θ = 5–70°:
2theta, Rel. int., (hkl)
17.10, 60, 0 1 1
21.89, 100, 1 0 1
25.65, 16, 1 1 0
27.79, 29, 0 1 3
30.01, 49, 1 1 2
34.59, 48, 0 2 2
40.61, 21, 1 1 4
41.66, 25, 2 0 0
44.30, 85, 1 2 3
44.40, 31, 1 0 5
47.17, 15, 0 0 6
55.22, 25, 2 2 2

---

Li3GaAu6: computed powder X-ray diffraction pattern (Cu Kα (λ = 1.5418 Å)), based on a structure optimized by DFT (GGA-PBE).
Peak positions follow from Bragg's law for the DFT cell and can differ from measured ones.

Cell and atoms:
Cell lengths 7.639, 4.741, 9.835 Å; angles 90.00, 111.58, 90.00 degrees
Space group P2_1/m (No. 11)
Asymmetric unit:
Li  0.091  0.250  0.222
Li  0.296  0.250  0.023
Li  0.324  0.750  0.371
Ga  0.121  0.750  0.577
Au  0.069  0.250  0.719
Au  0.107  0.750  0.073
Au  0.275  0.250  0.514
Au  0.296  0.750  0.866
Au  0.484  0.250  0.331
Au  0.494  0.250  0.832

Largest 12 diffraction maxima, by angle, 2θ = 5–70°:
2theta, Rel. int., (hkl)
26.38, 94, 1 1 1
30.84, 36, 2 0 -3
35.72, 16, 3 0 -2
37.34, 35, 2 0 2
37.96, 72, 0 2 0
40.62, 100, 3 1 -2
41.41, 91, 1 1 -4
42.08, 50, 2 1 2
49.67, 20, 2 2 -3
53.73, 15, 1 2 -4
54.30, 24, 2 2 2
64.24, 16, 4 0 -6

---

LiGa3Au: computed powder X-ray diffraction pattern (Cu Kα (λ = 1.5418 Å)), based on a structure optimized by DFT (GGA-PBE).
Peak positions follow from Bragg's law for the DFT cell and can differ from measured ones.

Cell and atoms:
Cell lengths 5.613, 5.631, 6.619 Å; angles 90.00, 113.37, 90.00 degrees
Space group Cm (No. 8)
Asymmetric unit:
Li  0.000  0.000  0.000
Ga  0.035  0.247  0.554
Ga  0.143  0.500  0.264
Au  0.429  0.000  0.855

Largest 12 diffraction maxima, by angle, 2θ = 5–70°:
2theta, Rel. int., (hkl)
14.58, 50, 0 0 1
23.40, 92, 1 1 0
23.70, 100, 1 1 -1
31.85, 27, 1 1 -2
35.13, 47, 0 2 1
35.65, 25, 2 0 -2
43.23, 59, 2 0 1
43.84, 53, 0 2 2
44.09, 28, 1 1 -3
44.62, 24, 2 0 -3
45.65, 60, 2 2 -1
66.65, 24, 4 0 -2